Entry 1:
This entry pairs a crystal structure of Sm3TlAg with its calculated powder diffractogram. Radiation: Cu Kα, 1.54184 Å. Structure: DFT lattice parameters and positions (GGA-PBE).

```
data_Sm3TlAg
_space_group_name_H-M_alt 'C m c m'
_space_group_IT_number 63
_space_group_name_Hall '-C 2c 2'
_cell_length_a 5.289
_cell_length_b 20.610
_cell_length_c 5.290
_cell_angle_alpha 90.00
_cell_angle_beta 90.00
_cell_angle_gamma 90.00
loop_
_atom_site_label
_atom_site_type_symbol
_atom_site_fract_x
_atom_site_fract_y
_atom_site_fract_z
Sm1 Sm 0.000 0.060 0.250
Sm2 Sm 0.000 0.249 0.250
Sm3 Sm 0.000 0.438 0.250
Tl1 Tl 0.000 0.154 0.750
Ag1 Ag 0.000 0.346 0.750
```

Peak list (6 most intense, 10 to 90 degrees two-theta, by angle)
d 2.770, intensity 100, (1 5 1)
d 2.645, intensity 47, (2 0 0)
d 1.870, intensity 17, (2 0 2)
d 1.626, intensity 17, (2 10 0)
d 1.550, intensity 35, (3 5 1)
d 1.385, intensity 10, (2 10 2)

Entry 2:
This entry pairs a crystal structure of Sm3TlAg2 with its calculated powder diffractogram. Radiation: Cu Kα, 1.54184 Å. Structure: DFT lattice parameters and positions (GGA-PBE).

```
data_Sm3TlAg2
_space_group_name_H-M_alt 'P 4/m m m'
_space_group_IT_number 123
_space_group_name_Hall '-P 4 2'
_cell_length_a 3.688
_cell_length_b 3.688
_cell_length_c 11.750
_cell_angle_alpha 90.00
_cell_angle_beta 90.00
_cell_angle_gamma 90.00
loop_
_atom_site_label
_atom_site_type_symbol
_atom_site_fract_x
_atom_site_fract_y
_atom_site_fract_z
Sm1 Sm 0.000 0.000 0.000
Sm2 Sm 0.000 0.000 0.321
Tl1 Tl 0.500 0.500 0.500
Ag1 Ag 0.500 0.500 0.159
```

Peak list (6 most intense, 10 to 90 degrees two-theta, by angle)
d 2.685, intensity 100, (1 0 3)
d 2.608, intensity 47, (1 1 0)
d 1.844, intensity 17, (2 0 0)
d 1.566, intensity 18, (1 1 6)
d 1.520, intensity 35, (2 1 3)
d 1.343, intensity 11, (2 0 6)

Entry 3:
This entry pairs a crystal structure of Sm3Tl4Ag2 with its calculated powder diffractogram. Radiation: Cu Kα, 1.54184 Å. Structure: DFT lattice parameters and positions (GGA-PBE).

```
data_Sm3Tl4Ag2
_space_group_name_H-M_alt 'C 1 2/m 1'
_space_group_IT_number 12
_cell_length_a 11.289
_cell_length_b 4.999
_cell_length_c 9.438
_cell_angle_alpha 90.00
_cell_angle_beta 117.71
_cell_angle_gamma 90.00
loop_
_space_group_symop_operation_xyz
'x,y,z'
'-x,-y,-z'
'-x,y,-z'
'x,-y,z'
'x+1/2,y+1/2,z'
'-x+1/2,-y+1/2,-z'
'-x+1/2,y+1/2,-z'
'x+1/2,-y+1/2,z'
loop_
_atom_site_label
_atom_site_type_symbol
_atom_site_fract_x
_atom_site_fract_y
_atom_site_fract_z
Sm1 Sm 0.000 0.000 0.000
Sm2 Sm 0.167 0.500 0.658
Tl1 Tl 0.053 0.000 0.380
Tl2 Tl 0.240 0.500 0.084
Ag1 Ag 0.107 0.500 0.278
```

Peak list (6 most intense, 10 to 90 degrees two-theta, by angle)
d 2.785, intensity 14, (0 0 3)
d 2.775, intensity 100, (4 0 -1)
d 2.509, intensity 68, (3 1 -3)
d 2.499, intensity 35, (0 2 0)
d 1.857, intensity 15, (4 2 -1)
d 1.495, intensity 14, (7 1 -4)

Entry 4:
This entry pairs a crystal structure of Sm12Tl5Ag2 with its calculated powder diffractogram. Radiation: Cu Kα, 1.54184 Å. Structure: DFT lattice parameters and positions (GGA-PBE).

```
data_Sm12Tl5Ag2
_space_group_name_H-M_alt 'C 1 2/m 1'
_space_group_IT_number 12
_cell_length_a 17.391
_cell_length_b 7.381
_cell_length_c 9.234
_cell_angle_alpha 90.00
_cell_angle_beta 96.19
_cell_angle_gamma 90.00
loop_
_space_group_symop_operation_xyz
'x,y,z'
'-x,-y,-z'
'-x,y,-z'
'x,-y,z'
'x+1/2,y+1/2,z'
'-x+1/2,-y+1/2,-z'
'-x+1/2,y+1/2,-z'
'x+1/2,-y+1/2,z'
loop_
_atom_site_label
_atom_site_type_symbol
_atom_site_fract_x
_atom_site_fract_y
_atom_site_fract_z
Sm1 Sm 0.003 0.000 0.194
Sm2 Sm 0.040 0.500 0.687
Sm3 Sm 0.150 0.246 0.008
Sm4 Sm 0.161 0.257 0.423
Tl1 Tl 0.000 0.500 0.000
Tl2 Tl 0.199 0.000 0.736
Tl3 Tl 0.228 0.500 0.751
Ag1 Ag 0.000 0.180 0.500
```

Peak list (6 most intense, 10 to 90 degrees two-theta, by angle)
d 3.140, intensity 23, (2 2 1)
d 2.990, intensity 25, (4 0 2)
d 2.878, intensity 100, (0 2 2)
d 2.836, intensity 18, (6 0 -1)
d 2.807, intensity 47, (4 2 0)
d 2.788, intensity 32, (2 0 3)

Entry 5:
This entry pairs a crystal structure of Sm2TmAg6 with its calculated powder diffractogram. Radiation: Cu Kα, 1.54184 Å. Structure: DFT lattice parameters and positions (GGA-PBE).

```
data_Sm2TmAg6
_space_group_name_H-M_alt 'P 6/m m m'
_space_group_IT_number 191
_space_group_name_Hall '-P 6 2'
_cell_length_a 8.2808
_cell_length_b 8.2808
_cell_length_c 3.4526
_cell_angle_alpha 90.00
_cell_angle_beta 90.00
_cell_angle_gamma 120.00
loop_
_atom_site_label
_atom_site_type_symbol
_atom_site_fract_x
_atom_site_fract_y
_atom_site_fract_z
Sm1 Sm 0.3333 0.6667 0.0000
Tm1 Tm 0.0000 0.0000 0.0000
Ag1 Ag 0.0000 0.3311 0.5000
```

Peak list (6 most intense, 10 to 90 degrees two-theta, by angle)
d 2.652, intensity 100, (1 1 1)
d 2.390, intensity 75, (3 0 0)
d 1.775, intensity 30, (2 2 1)
d 1.425, intensity 28, (4 1 1)
d 1.400, intensity 26, (3 0 2)
d 1.380, intensity 13, (3 3 0)

Entry 6:
This entry pairs a crystal structure of Sm3YAg4 with its calculated powder diffractogram. Radiation: Cu Kα, 1.54184 Å. Structure: DFT lattice parameters and positions (GGA-PBE).

```
data_Sm3YAg4
_space_group_name_H-M_alt 'P 4/m m m'
_space_group_IT_number 123
_space_group_name_Hall '-P 4 2'
_cell_length_a 3.685
_cell_length_b 3.685
_cell_length_c 14.846
_cell_angle_alpha 90.00
_cell_angle_beta 90.00
_cell_angle_gamma 90.00
loop_
_atom_site_label
_atom_site_type_symbol
_atom_site_fract_x
_atom_site_fract_y
_atom_site_fract_z
Sm1 Sm 0.000 0.000 0.000
Sm2 Sm 0.000 0.000 0.252
Y1 Y 0.000 0.000 0.500
Ag1 Ag 0.500 0.500 0.126
Ag2 Ag 0.500 0.500 0.381
```

Peak list (6 most intense, 10 to 90 degrees two-theta, by angle)
d 2.615, intensity 100, (1 0 4)
d 2.606, intensity 50, (1 1 0)
d 1.843, intensity 17, (2 0 0)
d 1.512, intensity 18, (1 1 8)
d 1.506, intensity 35, (2 1 4)
d 1.166, intensity 15, (3 1 0)